# La4Nd2Mg
Computed X-ray diffraction stick pattern, Cu Kα (weighted mean of Kα1 and Kα2). Input: a cell relaxed with PBE.

The 12 most intense peaks (2θ from 10° to 90°), in order of falling intensity:
29.46°, rel. 100; 30.54°, rel. 48; 29.89°, rel. 43; 33.29°, rel. 36; 32.77°, rel. 22; 54.06°, rel. 22; 10.41°, rel. 19; 25.12°, rel. 17; 53.60°, rel. 17; 62.08°, rel. 14; 73.69°, rel. 11; 14.33°, rel. 11

a b c (Å): 6.954 11.709 12.362
angles (deg): 90.00 90.00 90.00
Space group Imma (No. 74)
Inequivalent atoms, fractional coordinates:
La: 0.000 0.013 0.154 [8 per cell]
La: 0.222 0.250 0.991 [8 per cell]
Nd: 0.000 0.000 0.500 [4 per cell]
Nd: 0.000 0.250 0.716 [4 per cell]
Mg: 0.250 0.250 0.250 [4 per cell]